Entry 1:
This entry pairs a crystal structure of SmGa3Pt with its theoretical powder XRD pattern. Radiation: CuKα. Structure: DFT lattice parameters and positions (GGA-PBE).
Intensities are scaled so that the largest is 100.

Atomic structure:
```
data_SmGa3Pt
_symmetry_space_group_name_H-M 'P 1'
_symmetry_Int_Tables_number 1
_cell_length_a 4.1789
_cell_length_b 4.1789
_cell_length_c 10.8831
_cell_angle_alpha 90.00
_cell_angle_beta 90.00
_cell_angle_gamma 90.00
loop_
_symmetry_equiv_pos_as_xyz
'x,y,z'
loop_
_atom_site_label
_atom_site_type_symbol
_atom_site_fract_x
_atom_site_fract_y
_atom_site_fract_z
_atom_site_occupancy
Sm1 Sm 0.0000 0.0000 0.0000 1
Sm2 Sm 0.5000 0.5000 0.5000 1
Ga1 Ga 0.0000 0.0000 0.3871 1
Ga2 Ga 0.0000 0.0000 0.6129 1
Ga3 Ga 0.0000 0.5000 0.7500 1
Ga4 Ga 0.5000 0.0000 0.2500 1
Ga5 Ga 0.5000 0.5000 0.1129 1
Ga6 Ga 0.5000 0.5000 0.8871 1
Pt1 Pt 0.0000 0.5000 0.2500 1
Pt2 Pt 0.5000 0.0000 0.7500 1
```

Main lines, most intense first (2θ from 10° to 80°):
Position (°2θ)  I (rel.)
34.54  100
43.30  44
32.69  40
22.79  23
73.79  22
47.07  21
55.29  18
45.31  16
65.87  15
62.90  14


Entry 2:
This entry pairs a crystal structure of Nd4Tm2In with its theoretical powder XRD pattern. Radiation: CuKα. Structure: DFT lattice parameters and positions (GGA-PBE).
Intensities are scaled so that the largest is 100.

Atomic structure:
```
data_Nd4Tm2In
_symmetry_space_group_name_H-M 'P 1'
_symmetry_Int_Tables_number 1
_cell_length_a 6.0925
_cell_length_b 7.9823
_cell_length_c 9.4617
_cell_angle_alpha 88.58
_cell_angle_beta 87.33
_cell_angle_gamma 73.97
loop_
_symmetry_equiv_pos_as_xyz
'x,y,z'
loop_
_atom_site_label
_atom_site_type_symbol
_atom_site_fract_x
_atom_site_fract_y
_atom_site_fract_z
_atom_site_occupancy
Nd1 Nd 0.0798 0.2747 0.0635 1
Nd2 Nd 0.0817 0.7770 0.5697 1
Nd3 Nd 0.2021 0.8540 0.2080 1
Nd4 Nd 0.2320 0.3680 0.7028 1
Nd5 Nd 0.7680 0.6320 0.2972 1
Nd6 Nd 0.7979 0.1460 0.7920 1
Nd7 Nd 0.9183 0.2230 0.4303 1
Nd8 Nd 0.9202 0.7253 0.9365 1
Tm1 Tm 0.3682 0.9228 0.8480 1
Tm2 Tm 0.5000 0.0000 0.5000 1
Tm3 Tm 0.5000 0.5000 0.0000 1
Tm4 Tm 0.6318 0.0772 0.1520 1
In1 In 0.3481 0.4155 0.3463 1
In2 In 0.6519 0.5845 0.6537 1
```

Main lines, most intense first (2θ from 10° to 80°):
Position (°2θ)  I (rel.)
30.57  100
31.21  95
35.43  34
35.22  34
36.80  30
52.01  22
51.85  22
61.36  14
59.96  14
61.09  13


Entry 3:
This entry pairs a crystal structure of YBeAl2Cu4 with its theoretical powder XRD pattern. Radiation: CuKα. Structure: DFT lattice parameters and positions (GGA-PBE).
Intensities are scaled so that the largest is 100.

Atomic structure:
```
data_YBeAl2Cu4
_symmetry_space_group_name_H-M 'P 1'
_symmetry_Int_Tables_number 1
_cell_length_a 8.5798
_cell_length_b 8.5798
_cell_length_c 8.5798
_cell_angle_alpha 27.51
_cell_angle_beta 27.51
_cell_angle_gamma 27.51
loop_
_symmetry_equiv_pos_as_xyz
'x,y,z'
loop_
_atom_site_label
_atom_site_type_symbol
_atom_site_fract_x
_atom_site_fract_y
_atom_site_fract_z
_atom_site_occupancy
Y1 Y 0.0000 0.0000 0.0000 1
Be1 Be 0.5000 0.5000 0.5000 1
Al1 Al 0.2398 0.2398 0.2398 1
Al2 Al 0.7602 0.7602 0.7602 1
Cu1 Cu 0.1367 0.1367 0.1367 1
Cu2 Cu 0.4079 0.4079 0.4079 1
Cu3 Cu 0.5921 0.5921 0.5921 1
Cu4 Cu 0.8633 0.8633 0.8633 1
```

Main lines, most intense first (2θ from 10° to 80°):
Position (°2θ)  I (rel.)
44.42  100
35.93  80
38.69  50
31.10  48
58.39  23
47.93  22
76.21  18
73.88  16
26.23  14
60.34  13